Diffraction record for HoTaCo. The powder diffractogram is simulated, not measured: it uses a crystal structure in Alexandria, relaxed with GGA-PBE and CuKα.

Most intense lines, 10° ≤ 2θ ≤ 80°, in order of rising 2θ:
- 2θ = 28.28°, I 21
- 2θ = 32.73°, I 36
- 2θ = 34.77°, I 100
- 2θ = 36.80°, I 83
- 2θ = 43.79°, I 52
- 2θ = 44.18°, I 23
- 2θ = 59.74°, I 21
- 2θ = 61.11°, I 19
- 2θ = 61.72°, I 21
- 2θ = 64.38°, I 23

Crystal structure
a b c (Å): 6.3360 5.4128 5.0808
angles (deg): 74.21 55.29 50.50
Atoms (fractional coordinates):
Ho: 0.1746 0.8254 0.1746
Ho: 0.8254 0.1746 0.8254
Ta: 0.3309 0.3309 0.6691
Ta: 0.6691 0.6691 0.3309
Co: 0.2500 0.2500 0.2500
Co: 0.7500 0.7500 0.7500